Entry 1:
This entry pairs a crystal structure of Ba3LiCa12 with its computed powder diffractogram. Radiation: Cu Kα. Structure: a cell relaxed with PBE.
Intensities are scaled so that the largest is 100.

Main lines, by angle (10 to 90 degrees two-theta):
- (1 0 0), 2θ = 15.33°, rel. 12.8
- (1 0 4), 2θ = 22.64°, rel. 10.1
- (1 1 3), 2θ = 25.11°, rel. 13.9
- (1 1 4), 2θ = 27.45°, rel. 100.0
- (2 0 0), 2θ = 30.94°, rel. 40.4
- (0 0 8), 2θ = 33.47°, rel. 12.2
- (2 0 7), 2θ = 43.05°, rel. 9.5
- (2 2 0), 2θ = 44.33°, rel. 14.2
- (2 0 8), 2θ = 46.22°, rel. 16.8
- (1 1 11), 2θ = 52.02°, rel. 9.7
- (3 1 4), 2θ = 52.94°, rel. 29.4
- (2 2 8), 2θ = 56.67°, rel. 8.5

Structural model:
```
data_Ba3LiCa12
_chemical_formula_sum 'Ba3 Li1 Ca12'
_cell_length_a 5.7796
_cell_length_b 5.7796
_cell_length_c 21.4195
_cell_angle_alpha 90.00
_cell_angle_beta 90.00
_cell_angle_gamma 90.00
_symmetry_space_group_name_H-M 'P 1'
_symmetry_Int_Tables_number 1
loop_
_symmetry_equiv_pos_as_xyz
'x,y,z'
loop_
_atom_site_label
_atom_site_fract_x
_atom_site_fract_y
_atom_site_fract_z
_atom_site_occupancy
Ba1 0.0000 0.0000 0.0000 1
Ba2 0.0000 0.0000 0.2633 1
Ba3 0.0000 0.0000 0.7367 1
Li1 0.0000 0.0000 0.5000 1
Ca1 0.0000 0.5000 0.1324 1
Ca2 0.0000 0.5000 0.3955 1
Ca3 0.0000 0.5000 0.6045 1
Ca4 0.0000 0.5000 0.8676 1
Ca5 0.5000 0.0000 0.1324 1
Ca6 0.5000 0.0000 0.3955 1
Ca7 0.5000 0.0000 0.6045 1
Ca8 0.5000 0.0000 0.8676 1
Ca9 0.5000 0.5000 0.0000 1
Ca10 0.5000 0.5000 0.2670 1
Ca11 0.5000 0.5000 0.5000 1
Ca12 0.5000 0.5000 0.7330 1
```

=====

Entry 2:
This entry pairs a crystal structure of NaPmGe2Cl8 with its computed powder diffractogram. Radiation: Cu Kα. Structure: a cell relaxed with PBE.
Intensities are scaled so that the largest is 100.

Main lines, by angle (10 to 90 degrees two-theta):
- (0 0 1), 2θ = 10.55°, rel. 48.7
- (0 1 1), 2θ = 16.78°, rel. 43.7
- (1 0 1), 2θ = 17.43°, rel. 44.6
- (1 1 0), 2θ = 18.90°, rel. 100.0
- (1 -1 0), 2θ = 19.70°, rel. 98.9
- (1 1 -1), 2θ = 21.93°, rel. 31.7
- (1 0 2), 2θ = 25.32°, rel. 51.9
- (1 0 -2), 2θ = 25.65°, rel. 36.5
- (2 1 2), 2θ = 37.24°, rel. 45.9
- (2 1 -2), 2θ = 38.03°, rel. 32.5
- (-2 1 2), 2θ = 38.56°, rel. 30.3
- (0 0 4), 2θ = 43.17°, rel. 32.3

Structural model:
```
data_NaPmGe2Cl8
_chemical_formula_sum 'Na1 Pm1 Ge2 Cl8'
_cell_length_a 6.3403
_cell_length_b 6.6924
_cell_length_c 8.3844
_cell_angle_alpha 88.73
_cell_angle_beta 89.17
_cell_angle_gamma 87.61
_symmetry_space_group_name_H-M 'P 1'
_symmetry_Int_Tables_number 1
loop_
_symmetry_equiv_pos_as_xyz
'x,y,z'
loop_
_atom_site_label
_atom_site_fract_x
_atom_site_fract_y
_atom_site_fract_z
_atom_site_occupancy
Na1 0.0000 0.0000 0.0000 1
Pm1 0.0000 0.0000 0.5000 1
Ge1 0.4719 0.4694 0.2406 1
Ge2 0.5281 0.5306 0.7594 1
Cl1 0.2094 0.8088 0.2581 1
Cl2 0.2511 0.8523 0.7416 1
Cl3 0.2580 0.3214 0.4659 1
Cl4 0.2819 0.3388 0.0330 1
Cl5 0.7181 0.6612 0.9670 1
Cl6 0.7420 0.6786 0.5341 1
Cl7 0.7489 0.1477 0.2584 1
Cl8 0.7906 0.1912 0.7419 1
```

=====

Copy entry 2 word for word.
This entry pairs a crystal structure of NaPmGe2Cl8 with its computed powder diffractogram. Radiation: Cu Kα. Structure: a cell relaxed with PBE.
Intensities are scaled so that the largest is 100.

Main lines, by angle (10 to 90 degrees two-theta):
- (0 0 1), 2θ = 10.55°, rel. 48.7
- (0 1 1), 2θ = 16.78°, rel. 43.7
- (1 0 1), 2θ = 17.43°, rel. 44.6
- (1 1 0), 2θ = 18.90°, rel. 100.0
- (1 -1 0), 2θ = 19.70°, rel. 98.9
- (1 1 -1), 2θ = 21.93°, rel. 31.7
- (1 0 2), 2θ = 25.32°, rel. 51.9
- (1 0 -2), 2θ = 25.65°, rel. 36.5
- (2 1 2), 2θ = 37.24°, rel. 45.9
- (2 1 -2), 2θ = 38.03°, rel. 32.5
- (-2 1 2), 2θ = 38.56°, rel. 30.3
- (0 0 4), 2θ = 43.17°, rel. 32.3

Structural model:
```
data_NaPmGe2Cl8
_chemical_formula_sum 'Na1 Pm1 Ge2 Cl8'
_cell_length_a 6.3403
_cell_length_b 6.6924
_cell_length_c 8.3844
_cell_angle_alpha 88.73
_cell_angle_beta 89.17
_cell_angle_gamma 87.61
_symmetry_space_group_name_H-M 'P 1'
_symmetry_Int_Tables_number 1
loop_
_symmetry_equiv_pos_as_xyz
'x,y,z'
loop_
_atom_site_label
_atom_site_fract_x
_atom_site_fract_y
_atom_site_fract_z
_atom_site_occupancy
Na1 0.0000 0.0000 0.0000 1
Pm1 0.0000 0.0000 0.5000 1
Ge1 0.4719 0.4694 0.2406 1
Ge2 0.5281 0.5306 0.7594 1
Cl1 0.2094 0.8088 0.2581 1
Cl2 0.2511 0.8523 0.7416 1
Cl3 0.2580 0.3214 0.4659 1
Cl4 0.2819 0.3388 0.0330 1
Cl5 0.7181 0.6612 0.9670 1
Cl6 0.7420 0.6786 0.5341 1
Cl7 0.7489 0.1477 0.2584 1
Cl8 0.7906 0.1912 0.7419 1
```